1.
Pr2Ge5Ir3: calculated PXRD pattern (CuKα), based on a cell relaxed with PBE.
Lines closer than 0.1° are merged.

The 8 most intense peaks (2θ from 10° to 80°), sorted by position:
23.8°, I 40; 33.3°, I 51; 33.5°, I 57; 33.9°, I 36; 34.2°, I 30; 34.5°, I 55; 42.1°, I 100; 60.4°, I 22

Structure:
abc: 8.474 8.474 6.133
angles: 110.83 110.83 90.33
Fractional coordinates of all 20 atoms:
Pr 0.097 0.363 0.229
Pr 0.363 0.097 0.729
Pr 0.637 0.903 0.271
Pr 0.903 0.637 0.771
Ge 0.004 0.996 0.750
Ge 0.240 0.440 0.837
Ge 0.272 0.728 0.750
Ge 0.278 0.722 0.250
Ge 0.440 0.240 0.337
Ge 0.560 0.760 0.663
Ge 0.722 0.278 0.750
Ge 0.728 0.272 0.250
Ge 0.760 0.560 0.163
Ge 0.996 0.004 0.250
Ir 0.032 0.750 0.386
Ir 0.250 0.968 0.114
Ir 0.498 0.502 0.250
Ir 0.502 0.498 0.750
Ir 0.750 0.032 0.886
Ir 0.968 0.250 0.614

***

2.
YScSb2Pd2: calculated PXRD pattern (CuKα), based on a cell relaxed with PBE.
Lines closer than 0.1° are merged.

The 8 most intense peaks (2θ from 10° to 80°), sorted by position:
23.8°, I 42; 27.5°, I 10; 39.3°, I 100; 46.4°, I 20; 56.8°, I 17; 62.4°, I 8; 71.2°, I 32; 76.3°, I 4

Structure:
abc: 9.176 4.584 13.755
angles: 90.00 109.42 90.00
Fractional coordinates of all 24 atoms:
Y 0.000 0.000 0.000
Y 0.124 0.500 0.747
Y 0.250 0.000 0.497
Y 0.502 0.000 0.000
Sc 0.377 0.500 0.250
Sc 0.626 0.500 0.747
Sc 0.748 0.000 0.496
Sc 0.875 0.500 0.250
Sb 0.126 0.000 0.251
Sb 0.252 0.500 0.003
Sb 0.379 0.000 0.748
Sb 0.502 0.500 0.495
Sb 0.627 0.000 0.251
Sb 0.751 0.500 0.999
Sb 0.869 0.000 0.743
Sb 0.994 0.500 0.496
Pd 0.066 0.500 0.132
Pd 0.187 0.000 0.873
Pd 0.322 0.500 0.625
Pd 0.442 0.000 0.370
Pd 0.568 0.500 0.132
Pd 0.686 0.000 0.867
Pd 0.804 0.500 0.619
Pd 0.930 0.000 0.371